This entry pairs a crystal structure of NdPu2TeO4 with its theoretical PXRD pattern. Radiation: Cu Kα, 1.54184 Å. Structure: a DFT-relaxed cell (PBE, Alexandria).

Cell and atoms:
```
NdPu2TeO4
1.0
3.962 0.000 0.000
0.000 3.962 0.000
0.000 0.000 9.152
Nd Pu Te O
1 2 1 4
Direct
0.000 0.000 0.000
0.500 0.500 0.275
0.500 0.500 0.725
0.000 0.000 0.500
0.000 0.500 0.161
0.000 0.500 0.839
0.500 0.000 0.161
0.500 0.000 0.839
```

Main lines, by angle (15 to 90 degrees two-theta):
22.44°, intensity 7
29.83°, intensity 100
31.94°, intensity 37
39.38°, intensity 9
45.80°, intensity 20
51.57°, intensity 22
55.62°, intensity 36
61.96°, intensity 10
74.82°, intensity 7
89.09°, intensity 10



This entry pairs a crystal structure of Ac2Mg16Zn with its theoretical PXRD pattern. Radiation: Cu Kα, 1.54184 Å. Structure: a DFT-relaxed cell (PBE, Alexandria).

Cell and atoms:
```
Ac2Mg16Zn
1.0
5.194 2.999 5.087
-5.194 2.999 5.087
0.000 -5.998 5.087
Ac Mg Zn
2 16 1
Direct
0.000 0.000 0.000
0.337 0.337 0.337
0.016 0.016 0.511
0.016 0.511 0.016
0.174 0.665 0.665
0.319 0.319 0.826
0.319 0.826 0.319
0.372 0.668 0.964
0.372 0.964 0.668
0.511 0.016 0.016
0.665 0.174 0.665
0.665 0.665 0.174
0.668 0.372 0.964
0.668 0.964 0.372
0.754 0.754 0.754
0.827 0.319 0.319
0.964 0.372 0.668
0.964 0.668 0.372
0.562 0.562 0.562
```

Main lines, by angle (15 to 90 degrees two-theta):
15.23°, intensity 31
17.07°, intensity 98
17.43°, intensity 24
24.49°, intensity 100
29.79°, intensity 63
34.54°, intensity 61
34.73°, intensity 92
35.32°, intensity 40
49.79°, intensity 35
50.22°, intensity 32



This entry pairs a crystal structure of LaIn2P2Pt7 with its theoretical PXRD pattern. Radiation: Cu Kα, 1.54184 Å. Structure: a DFT-relaxed cell (PBE, Alexandria).

Cell and atoms:
```
LaIn2P2Pt7
1.0
2.824 -2.826 0.000
2.824 2.826 0.000
-2.533 0.000 15.162
La In P Pt
1 2 2 7
Direct
0.000 0.000 0.000
0.201 0.201 0.425
0.799 0.799 0.575
0.392 0.392 0.760
0.608 0.608 0.240
0.070 0.570 0.156
0.315 0.315 0.610
0.430 0.930 0.844
0.500 0.500 0.000
0.570 0.070 0.156
0.685 0.685 0.390
0.930 0.430 0.844
```

Main lines, by angle (15 to 90 degrees two-theta):
23.47°, intensity 31
29.46°, intensity 54
32.20°, intensity 44
33.86°, intensity 43
34.10°, intensity 29
36.14°, intensity 49
36.43°, intensity 89
36.76°, intensity 39
41.70°, intensity 26
45.41°, intensity 100



This entry pairs a crystal structure of NiAs2Pd2 with its theoretical PXRD pattern. Radiation: Cu Kα, 1.54184 Å. Structure: a DFT-relaxed cell (PBE, Alexandria).

Cell and atoms:
```
NiAs2Pd2
1.0
7.969 0.000 0.000
0.000 5.121 0.000
0.000 0.000 7.855
Ni As Pd
4 8 8
Direct
0.000 0.071 0.250
0.000 0.929 0.750
0.500 0.429 0.750
0.500 0.571 0.250
0.104 0.211 0.527
0.104 0.789 0.027
0.396 0.289 0.027
0.396 0.711 0.527
0.604 0.289 0.473
0.604 0.711 0.973
0.896 0.211 0.973
0.896 0.789 0.473
0.165 0.429 0.813
0.165 0.571 0.313
0.335 0.071 0.313
0.335 0.929 0.813
0.665 0.071 0.187
0.665 0.929 0.687
0.835 0.429 0.687
0.835 0.571 0.187
```

Main lines, by angle (15 to 90 degrees two-theta):
25.28°, intensity 54
30.62°, intensity 80
36.61°, intensity 70
36.92°, intensity 72
38.17°, intensity 100
39.92°, intensity 47
42.13°, intensity 93
44.83°, intensity 96
45.05°, intensity 89
47.70°, intensity 55